This entry pairs a crystal structure of YCr3O9 with its simulated powder X-ray diffraction pattern. Radiation: copper Kα. Structure: a cell relaxed with PBE+U.
Lines closer than 0.1° are merged.

Main lines, most intense first (10° ≤ 2θ ≤ 80°):
2θ = 33.71°, intensity 100; 2θ = 49.46°, intensity 62; 2θ = 25.37°, intensity 56; 2θ = 24.15°, intensity 50; 2θ = 28.76°, intensity 50; 2θ = 34.42°, intensity 50

Atomic structure:
Cell lengths 3.685, 3.685, 11.521 Å; angles 90.00, 90.00, 90.00 degrees
Atoms (fractional coordinates):
Y 0.000 0.000 0.000
Cr 0.500 0.500 0.184
Cr 0.500 0.500 0.500
Cr 0.500 0.500 0.816
O 0.000 0.500 0.147
O 0.000 0.500 0.500
O 0.000 0.500 0.853
O 0.500 0.000 0.147
O 0.500 0.000 0.500
O 0.500 0.000 0.853
O 0.500 0.500 0.000
O 0.500 0.500 0.328
O 0.500 0.500 0.672


This entry pairs a crystal structure of Ti3Cr2FeP6O24 with its simulated powder X-ray diffraction pattern. Radiation: copper Kα. Structure: a cell relaxed with PBE+U.
Lines closer than 0.1° are merged.

Main lines, most intense first (10° ≤ 2θ ≤ 80°):
2θ = 24.08°, intensity 100; 2θ = 20.49°, intensity 72; 2θ = 32.70°, intensity 69; 2θ = 56.15°, intensity 32; 2θ = 35.88°, intensity 32; 2θ = 49.32°, intensity 26

Atomic structure:
Cell lengths 8.657, 8.657, 8.657 Å; angles 60.11, 60.11, 60.11 degrees
Atoms (fractional coordinates):
Ti 0.000 0.000 0.000
Ti 0.210 0.210 0.210
Ti 0.708 0.708 0.708
Cr 0.358 0.358 0.358
Cr 0.855 0.855 0.855
Fe 0.499 0.499 0.499
P 0.103 0.812 0.397
P 0.310 0.603 0.900
P 0.397 0.103 0.812
P 0.603 0.900 0.310
P 0.812 0.397 0.103
P 0.900 0.310 0.603
O 0.038 0.864 0.236
O 0.097 0.297 0.440
O 0.119 0.770 0.923
O 0.162 0.977 0.354
O 0.236 0.038 0.864
O 0.262 0.621 0.406
O 0.297 0.440 0.097
O 0.338 0.546 0.748
O 0.354 0.162 0.977
O 0.406 0.262 0.621
O 0.440 0.097 0.297
O 0.477 0.661 0.855
O 0.546 0.748 0.338
O 0.589 0.937 0.801
O 0.621 0.406 0.262
O 0.661 0.855 0.477
O 0.748 0.338 0.546
O 0.770 0.923 0.119
O 0.801 0.589 0.937
O 0.855 0.477 0.661
O 0.864 0.236 0.038
O 0.923 0.119 0.770
O 0.937 0.801 0.589
O 0.977 0.354 0.162


Repeat the second record exactly.
This entry pairs a crystal structure of Ti3Cr2FeP6O24 with its simulated powder X-ray diffraction pattern. Radiation: copper Kα. Structure: a cell relaxed with PBE+U.
Lines closer than 0.1° are merged.

Main lines, most intense first (10° ≤ 2θ ≤ 80°):
2θ = 24.08°, intensity 100; 2θ = 20.49°, intensity 72; 2θ = 32.70°, intensity 69; 2θ = 56.15°, intensity 32; 2θ = 35.88°, intensity 32; 2θ = 49.32°, intensity 26

Atomic structure:
Cell lengths 8.657, 8.657, 8.657 Å; angles 60.11, 60.11, 60.11 degrees
Atoms (fractional coordinates):
Ti 0.000 0.000 0.000
Ti 0.210 0.210 0.210
Ti 0.708 0.708 0.708
Cr 0.358 0.358 0.358
Cr 0.855 0.855 0.855
Fe 0.499 0.499 0.499
P 0.103 0.812 0.397
P 0.310 0.603 0.900
P 0.397 0.103 0.812
P 0.603 0.900 0.310
P 0.812 0.397 0.103
P 0.900 0.310 0.603
O 0.038 0.864 0.236
O 0.097 0.297 0.440
O 0.119 0.770 0.923
O 0.162 0.977 0.354
O 0.236 0.038 0.864
O 0.262 0.621 0.406
O 0.297 0.440 0.097
O 0.338 0.546 0.748
O 0.354 0.162 0.977
O 0.406 0.262 0.621
O 0.440 0.097 0.297
O 0.477 0.661 0.855
O 0.546 0.748 0.338
O 0.589 0.937 0.801
O 0.621 0.406 0.262
O 0.661 0.855 0.477
O 0.748 0.338 0.546
O 0.770 0.923 0.119
O 0.801 0.589 0.937
O 0.855 0.477 0.661
O 0.864 0.236 0.038
O 0.923 0.119 0.770
O 0.937 0.801 0.589
O 0.977 0.354 0.162